(1)
# ThGeTe
Computed XRD peak list, Cu Kα (weighted mean of Kα1 and Kα2). Input: a cell relaxed with GGA-PBE.
No peak broadening, texture or thermal motion is included.

Largest 6 diffraction maxima, by angle, 10 to 90 degrees two-theta:
2θ/deg  d [Å]  I/Imax  h k l
21.58  4.117  42  1 0 1
29.92  2.987  56  1 1 0
32.23  2.777  100  1 0 5
35.83  2.506  82  1 1 4
42.82  2.112  52  2 0 0
54.59  1.681  46  2 1 5

Atomic structure:
```
data_ThGeTe
_cell_length_a 4.224
_cell_length_b 4.224
_cell_length_c 18.432
_cell_angle_alpha 90.00
_cell_angle_beta 90.00
_cell_angle_gamma 90.00
_symmetry_space_group_name_H-M 'I 4/m m m'
_symmetry_Int_Tables_number 139
_symmetry_space_group_name_Hall '-I 4 2'
loop_
_atom_site_label
_atom_site_type_symbol
_atom_site_fract_x
_atom_site_fract_y
_atom_site_fract_z
Th1 Th 0.000 0.000 0.123
Ge1 Ge 0.000 0.500 0.000
Te1 Te 0.000 0.000 0.311
```

***

(2)
# Cs3Bi7Se12
Computed XRD peak list, Cu Kα (weighted mean of Kα1 and Kα2). Input: a cell relaxed with GGA-PBE.
No peak broadening, texture or thermal motion is included.

Largest 6 diffraction maxima, by angle, 10 to 90 degrees two-theta:
2θ/deg  d [Å]  I/Imax  h k l
20.77  4.277  31  6 0 -2
29.13  3.065  100  3 1 -3
29.72  3.006  52  8 0 1
41.62  2.170  29  11 1 -2
42.20  2.142  28  0 2 0
42.58  2.123  39  5 1 4

Atomic structure:
```
data_Cs3Bi7Se12
_cell_length_a 27.785
_cell_length_b 4.284
_cell_length_c 13.417
_cell_angle_alpha 90.00
_cell_angle_beta 107.11
_cell_angle_gamma 90.00
_symmetry_space_group_name_H-M 'C 1 m 1'
_symmetry_Int_Tables_number 8
loop_
_symmetry_equiv_pos_as_xyz
'x,y,z'
'x,-y,z'
'x+1/2,y+1/2,z'
'x+1/2,-y+1/2,z'
loop_
_atom_site_label
_atom_site_type_symbol
_atom_site_fract_x
_atom_site_fract_y
_atom_site_fract_z
Cs1 Cs 0.000 0.000 0.000
Cs2 Cs 0.111 0.500 0.306
Cs3 Cs 0.272 0.000 0.747
Bi1 Bi 0.051 0.500 0.620
Bi2 Bi 0.138 0.000 0.878
Bi3 Bi 0.226 0.500 0.138
Bi4 Bi 0.319 0.000 0.400
Bi5 Bi 0.360 0.000 0.093
Bi6 Bi 0.415 0.500 0.664
Bi7 Bi 0.457 0.500 0.358
Se1 Se 0.032 0.000 0.755
Se2 Se 0.061 0.000 0.471
Se3 Se 0.120 0.500 0.021
Se4 Se 0.155 0.500 0.737
Se5 Se 0.214 0.000 0.287
Se6 Se 0.246 0.000 0.003
Se7 Se 0.310 0.500 0.546
Se8 Se 0.339 0.500 0.258
Se9 Se 0.368 0.500 0.962
Se10 Se 0.408 0.000 0.796
Se11 Se 0.436 0.000 0.500
Se12 Se 0.468 0.000 0.213
```

***

(3)
# TeO6
Computed XRD peak list, Cu Kα (weighted mean of Kα1 and Kα2). Input: a cell relaxed with GGA-PBE.
No peak broadening, texture or thermal motion is included.

Largest 6 diffraction maxima, by angle, 10 to 90 degrees two-theta:
2θ/deg  d [Å]  I/Imax  h k l
20.49  4.334  99  1 1 1
23.71  3.753  100  2 0 0
33.78  2.654  26  2 2 0
39.83  2.263  63  3 1 1
53.19  1.722  30  3 3 1
54.69  1.678  35  4 2 0

Atomic structure:
```
data_TeO6
_cell_length_a 7.506
_cell_length_b 7.506
_cell_length_c 7.506
_cell_angle_alpha 90.00
_cell_angle_beta 90.00
_cell_angle_gamma 90.00
_symmetry_space_group_name_H-M 'F m -3 m'
_symmetry_Int_Tables_number 225
_symmetry_space_group_name_Hall '-F 4 2 3'
loop_
_atom_site_label
_atom_site_type_symbol
_atom_site_fract_x
_atom_site_fract_y
_atom_site_fract_z
Te1 Te 0.000 0.000 0.000
O1 O 0.000 0.000 0.262
```

***

(4)
# CsBa3Ga5Se10Cl2
Computed XRD peak list, Cu Kα (weighted mean of Kα1 and Kα2). Input: a cell relaxed with GGA-PBE.
No peak broadening, texture or thermal motion is included.

Largest 6 diffraction maxima, by angle, 10 to 90 degrees two-theta:
2θ/deg  d [Å]  I/Imax  h k l
11.39  7.768  18  0 1 0
27.93  3.195  100  1 -2 2
28.09  3.177  58  2 1 -3
28.11  3.174  47  2 1 0
45.85  1.979  18  4 2 -3
47.01  1.933  36  -3 1 4

Atomic structure:
```
data_CsBa3Ga5Se10Cl2
_cell_length_a 8.855
_cell_length_b 8.935
_cell_length_c 10.145
_cell_angle_alpha 115.91
_cell_angle_beta 115.77
_cell_angle_gamma 90.32
_symmetry_space_group_name_H-M 'P 1'
_symmetry_Int_Tables_number 1
loop_
_symmetry_equiv_pos_as_xyz
'x,y,z'
loop_
_atom_site_label
_atom_site_type_symbol
_atom_site_fract_x
_atom_site_fract_y
_atom_site_fract_z
Cs1 Cs 0.000 0.000 0.000
Ba1 Ba 0.097 0.831 0.457
Ba2 Ba 0.261 0.475 0.996
Ba3 Ba 0.619 0.105 0.456
Ga1 Ga 0.215 0.424 0.555
Ga2 Ga 0.482 0.882 0.896
Ga3 Ga 0.599 0.619 0.560
Ga4 Ga 0.670 0.501 0.898
Ga5 Ga 0.746 0.355 0.227
Se1 Se 0.191 0.698 0.742
Se2 Se 0.316 0.423 0.369
Se3 Se 0.392 0.286 0.709
Se4 Se 0.462 0.160 0.081
Se5 Se 0.553 0.902 0.697
Se6 Se 0.661 0.781 0.084
Se7 Se 0.692 0.635 0.371
Se8 Se 0.802 0.514 0.736
Se9 Se 0.881 0.417 0.085
Se10 Se 0.933 0.226 0.381
Cl1 Cl 0.260 0.841 0.241
Cl2 Cl 0.990 0.110 0.706
```

***

(5)
# Rb3Nb6SBr17
Computed XRD peak list, Cu Kα (weighted mean of Kα1 and Kα2). Input: a cell relaxed with GGA-PBE.
No peak broadening, texture or thermal motion is included.

Largest 6 diffraction maxima, by angle, 10 to 90 degrees two-theta:
2θ/deg  d [Å]  I/Imax  h k l
11.52  7.683  52  1 1 1
30.29  2.951  90  5 3 1
30.82  2.901  98  2 6 -1
31.73  2.820  100  1 3 3
40.33  2.237  40  1 3 -4
48.97  1.860  43  3 9 2

Atomic structure:
```
data_Rb3Nb6SBr17
_cell_length_a 17.824
_cell_length_b 19.381
_cell_length_c 9.596
_cell_angle_alpha 90.00
_cell_angle_beta 91.29
_cell_angle_gamma 90.00
_symmetry_space_group_name_H-M 'C 1 2/c 1'
_symmetry_Int_Tables_number 15
loop_
_symmetry_equiv_pos_as_xyz
'x,y,z'
'-x,-y,-z'
'-x,y,-z+1/2'
'x,-y,z+1/2'
'x+1/2,y+1/2,z'
'-x+1/2,-y+1/2,-z'
'-x+1/2,y+1/2,-z+1/2'
'x+1/2,-y+1/2,z+1/2'
loop_
_atom_site_label
_atom_site_type_symbol
_atom_site_fract_x
_atom_site_fract_y
_atom_site_fract_z
Rb1 Rb 0.000 0.045 0.250
Rb2 Rb 0.221 0.447 0.168
Nb1 Nb 0.016 0.320 0.520
Nb2 Nb 0.071 0.189 0.644
Nb3 Nb 0.124 0.323 0.762
S1 S 0.000 0.277 0.750
Br1 Br 0.000 0.382 0.250
Br2 Br 0.059 0.432 0.890
Br3 Br 0.064 0.125 0.895
Br4 Br 0.079 0.220 0.381
Br5 Br 0.125 0.276 0.025
Br6 Br 0.128 0.063 0.562
Br7 Br 0.143 0.388 0.523
Br8 Br 0.212 0.223 0.684
Br9 Br 0.246 0.109 0.166
```

***

(6)
# TlN
Computed XRD peak list, Cu Kα (weighted mean of Kα1 and Kα2). Input: a cell relaxed with GGA-PBE.
No peak broadening, texture or thermal motion is included.

Largest 6 diffraction maxima, by angle, 10 to 90 degrees two-theta:
2θ/deg  d [Å]  I/Imax  h k l
29.34  3.044  100  1 1 1
34.01  2.636  44  2 0 0
48.86  1.864  42  2 2 0
58.02  1.590  45  3 1 1
79.20  1.209  19  3 3 1
81.68  1.179  16  4 2 0

Atomic structure:
```
data_TlN
_cell_length_a 5.272
_cell_length_b 5.272
_cell_length_c 5.272
_cell_angle_alpha 90.00
_cell_angle_beta 90.00
_cell_angle_gamma 90.00
_symmetry_space_group_name_H-M 'F -4 3 m'
_symmetry_Int_Tables_number 216
_symmetry_space_group_name_Hall 'F -4 2 3'
loop_
_atom_site_label
_atom_site_type_symbol
_atom_site_fract_x
_atom_site_fract_y
_atom_site_fract_z
Tl1 Tl 0.000 0.000 0.000
N1 N 0.250 0.250 0.750
```

***

(7)
# CuH6C2SeI
Computed XRD peak list, Cu Kα (weighted mean of Kα1 and Kα2). Input: a cell relaxed with GGA-PBE.
No peak broadening, texture or thermal motion is included.

Largest 6 diffraction maxima, by angle, 10 to 90 degrees two-theta:
2θ/deg  d [Å]  I/Imax  h k l
11.55  7.661  82  1 0 0
14.52  6.099  100  0 1 1
22.70  3.917  71  1 1 -2
23.30  3.818  56  1 1 2
28.32  3.152  32  1 2 -1
28.56  3.125  31  1 2 1

Atomic structure:
```
data_CuH6C2SeI
_cell_length_a 7.666
_cell_length_b 7.215
_cell_length_c 11.427
_cell_angle_alpha 90.00
_cell_angle_beta 92.18
_cell_angle_gamma 90.00
_symmetry_space_group_name_H-M 'P 1 21/c 1'
_symmetry_Int_Tables_number 14
loop_
_symmetry_equiv_pos_as_xyz
'x,y,z'
'-x,-y,-z'
'-x,y+1/2,-z+1/2'
'x,-y+1/2,z+1/2'
loop_
_atom_site_label
_atom_site_type_symbol
_atom_site_fract_x
_atom_site_fract_y
_atom_site_fract_z
Cu1 Cu 0.002 0.045 0.380
H1 H 0.106 0.582 0.431
H2 H 0.278 0.506 0.339
H3 H 0.309 0.708 0.433
H4 H 0.332 0.526 0.634
H5 H 0.415 0.742 0.160
H6 H 0.428 0.586 0.776
C1 C 0.216 0.626 0.379
C2 C 0.352 0.637 0.699
Se1 Se 0.122 0.712 0.754
I1 I 0.255 0.140 0.527
```